CaHfN2: computed powder diffractogram (Cu Ka), based on a GGA-PBE-relaxed structure.

Cell and atoms:
Unit cell a=3.2908 b=3.2908 c=16.8317 alpha=90.00 beta=90.00 gamma=120.00
Space group R-3m (No. 166, hexagonal axes)
Symmetry-distinct sites (fractional):
Ca  0.0000  0.0000  0.0000
Hf  0.0000  0.0000  0.5000
N  0.0000  0.0000  0.2375

Main lines, sorted by position (2θ from 10° to 80°):
- 15.8°, I 94.1, (0 0 3)
- 31.9°, I 81.2, (0 0 6)
- 33.2°, I 90.0, (0 1 2)
- 38.1°, I 100.0, (1 0 4)
- 41.5°, I 21.0, (0 1 5)
- 54.2°, I 33.8, (0 1 8)
- 55.9°, I 31.8, (1 1 0)
- 58.5°, I 19.9, (1 1 3)
- 65.8°, I 33.4, (1 1 6)
- 69.7°, I 22.6, (0 2 4)

---

Ca5Hf2N6: computed powder diffractogram (Cu Ka), based on a GGA-PBE-relaxed structure.

Cell and atoms:
Unit cell a=10.9913 b=6.0853 c=14.6251 alpha=90.00 beta=92.58 gamma=90.00
Space group C2/c (No. 15)
Symmetry-distinct sites (fractional):
Ca  0.0000  0.0898  0.2500
Ca  0.1061  0.2326  0.0394
Ca  0.1464  0.4449  0.7172
Hf  0.2023  0.3386  0.4125
N  0.0312  0.3863  0.3573
N  0.1776  0.0537  0.6797
N  0.2496  0.0212  0.4593

Main lines, sorted by position (2θ from 10° to 80°):
- 16.1°, I 54.1, (2 0 0)
- 17.6°, I 100.0, (1 1 -1)
- 19.8°, I 29.5, (2 0 -2)
- 28.9°, I 31.2, (3 1 -1)
- 29.4°, I 26.6, (1 1 -4)
- 30.0°, I 26.2, (2 0 4)
- 33.4°, I 32.2, (3 1 -3)
- 34.4°, I 35.8, (2 2 1)
- 34.8°, I 34.3, (0 2 3)
- 35.4°, I 31.7, (1 1 5)

---

NaCaHfNbO6: computed powder diffractogram (Cu Ka), based on a GGA-PBE-relaxed structure.

Cell and atoms:
Unit cell a=8.1144 b=8.1144 c=8.1144 alpha=90.00 beta=90.00 gamma=90.00
Space group F-43m (No. 216)
Symmetry-distinct sites (fractional):
Na  0.0000  0.0000  0.0000
Ca  0.0000  0.0000  0.5000
Hf  0.2500  0.2500  0.7500
Nb  0.2500  0.2500  0.2500
O  0.0036  0.2500  0.2500

Main lines, sorted by position (2θ from 10° to 80°):
- 18.9°, I 14.5, (1 1 1)
- 21.9°, I 75.0, (2 0 0)
- 31.2°, I 100.0, (2 2 0)
- 36.7°, I 9.5, (3 1 1)
- 44.7°, I 36.7, (4 0 0)
- 50.3°, I 31.6, (4 2 0)
- 55.5°, I 39.6, (4 2 2)
- 65.0°, I 21.7, (4 4 0)
- 69.5°, I 14.8, (6 0 0)
- 73.9°, I 16.9, (6 2 0)